PaZnNiO6: simulated powder diffraction line list (Cu Kα), based on a crystal structure in Alexandria, relaxed with PBE+U.
No peak broadening, texture or thermal motion is included.

Structural model:
```
data_PaZnNiO6
_symmetry_space_group_name_H-M 'P 1'
_symmetry_Int_Tables_number 1
_cell_length_a 5.0450
_cell_length_b 5.0450
_cell_length_c 4.7362
_cell_angle_alpha 90.00
_cell_angle_beta 90.00
_cell_angle_gamma 120.00
loop_
_symmetry_equiv_pos_as_xyz
'x,y,z'
loop_
_atom_site_label
_atom_site_type_symbol
_atom_site_fract_x
_atom_site_fract_y
_atom_site_fract_z
_atom_site_occupancy
Pa1 Pa 0.0000 0.0000 0.0000 1
Zn1 Zn 0.6667 0.3333 0.5000 1
Ni1 Ni 0.3333 0.6667 0.5000 1
O1 O 0.0262 0.3619 0.7273 1
O2 O 0.0262 0.6643 0.2727 1
O3 O 0.3357 0.3619 0.2727 1
O4 O 0.3357 0.9738 0.7273 1
O5 O 0.6381 0.6643 0.7273 1
O6 O 0.6381 0.9738 0.2727 1
```

The 10 most intense peaks (15° ≤ 2θ ≤ 90°), by angle:
- 2θ = 20.3°, I 26.8, (1 0 0)
- 2θ = 27.8°, I 100.0, (1 0 1)
- 2θ = 35.6°, I 29.9, (1 1 0)
- 2θ = 43.5°, I 9.4, (1 0 2)
- 2θ = 45.7°, I 25.8, (2 0 1)
- 2θ = 53.0°, I 31.2, (2 -1 2)
- 2θ = 59.3°, I 24.3, (3 -1 1)
- 2θ = 62.6°, I 10.2, (1 0 3)
- 2θ = 63.9°, I 10.2, (3 0 0)
- 2θ = 82.1°, I 9.7, (3 1 1)